[1]
PuCo2Sb2: simulated powder XRD pattern (Cu Ka), based on a cell relaxed with GGA-PBE.

Top 10 peaks for 2θ from 10° to 80°, sorted by position:
2θ 30.2, intensity 100; 2θ 33.6, intensity 24; 2θ 33.7, intensity 42; 2θ 34.2, intensity 19; 2θ 35.0, intensity 33; 2θ 37.3, intensity 16; 2θ 38.9, intensity 31; 2θ 43.8, intensity 30; 2θ 52.7, intensity 20; 2θ 56.3, intensity 19

Cell and atoms:
```
data_PuCo2Sb2
_chemical_formula_sum 'Pu4 Co8 Sb8'
_cell_length_a 9.2650
_cell_length_b 4.1371
_cell_length_c 10.4925
_cell_angle_alpha 90.00
_cell_angle_beta 90.00
_cell_angle_gamma 90.00
_symmetry_space_group_name_H-M 'P 1'
_symmetry_Int_Tables_number 1
loop_
_symmetry_equiv_pos_as_xyz
'x,y,z'
loop_
_atom_site_label
_atom_site_fract_x
_atom_site_fract_y
_atom_site_fract_z
Pu1 0.2434 0.2500 0.1326
Pu2 0.2566 0.7500 0.6326
Pu3 0.7434 0.2500 0.3674
Pu4 0.7566 0.7500 0.8674
Co1 0.0144 0.2500 0.9097
Co2 0.0766 0.2500 0.4596
Co3 0.4234 0.7500 0.9596
Co4 0.4856 0.7500 0.4097
Co5 0.5144 0.2500 0.5903
Co6 0.5766 0.2500 0.0404
Co7 0.9234 0.7500 0.5404
Co8 0.9856 0.7500 0.0903
Sb1 0.0368 0.7500 0.3239
Sb2 0.1613 0.7500 0.9140
Sb3 0.3387 0.2500 0.4140
Sb4 0.4632 0.2500 0.8239
Sb5 0.5368 0.7500 0.1761
Sb6 0.6613 0.7500 0.5860
Sb7 0.8387 0.2500 0.0860
Sb8 0.9632 0.2500 0.6761
```

=====

[2]
Pu3Co3Sb4: simulated powder XRD pattern (Cu Ka), based on a cell relaxed with GGA-PBE.

Top 10 peaks for 2θ from 10° to 80°, sorted by position:
2θ 23.1, intensity 21; 2θ 29.9, intensity 74; 2θ 35.6, intensity 100; 2θ 42.9, intensity 46; 2θ 45.1, intensity 18; 2θ 47.2, intensity 15; 2θ 60.5, intensity 29; 2θ 62.2, intensity 13; 2θ 63.9, intensity 13; 2θ 73.8, intensity 21

Cell and atoms:
```
data_Pu3Co3Sb4
_chemical_formula_sum 'Pu6 Co6 Sb8'
_cell_length_a 8.1709
_cell_length_b 8.1709
_cell_length_c 8.1709
_cell_angle_alpha 109.47
_cell_angle_beta 109.47
_cell_angle_gamma 109.47
_symmetry_space_group_name_H-M 'P 1'
_symmetry_Int_Tables_number 1
loop_
_symmetry_equiv_pos_as_xyz
'x,y,z'
loop_
_atom_site_label
_atom_site_fract_x
_atom_site_fract_y
_atom_site_fract_z
Pu1 0.1250 0.7500 0.8750
Pu2 0.2500 0.6250 0.3750
Pu3 0.3750 0.2500 0.6250
Pu4 0.6250 0.3750 0.2500
Pu5 0.7500 0.8750 0.1250
Pu6 0.8750 0.1250 0.7500
Co1 0.1250 0.8750 0.2500
Co2 0.2500 0.1250 0.8750
Co3 0.3750 0.6250 0.7500
Co4 0.6250 0.7500 0.3750
Co5 0.7500 0.3750 0.6250
Co6 0.8750 0.2500 0.1250
Sb1 0.0000 0.3425 0.5000
Sb2 0.0000 0.8425 0.5000
Sb3 0.1575 0.1575 0.1575
Sb4 0.3425 0.5000 0.0000
Sb5 0.5000 0.0000 0.3425
Sb6 0.5000 0.0000 0.8425
Sb7 0.6575 0.6575 0.6575
Sb8 0.8425 0.5000 0.0000
```

=====

[3]
PuScCo: simulated powder XRD pattern (Cu Ka), based on a cell relaxed with GGA-PBE.

Top 10 peaks for 2θ from 10° to 80°, sorted by position:
2θ 11.2, intensity 100; 2θ 22.5, intensity 12; 2θ 29.4, intensity 13; 2θ 34.0, intensity 9; 2θ 35.3, intensity 9; 2θ 36.9, intensity 22; 2θ 37.2, intensity 11; 2θ 41.3, intensity 16; 2θ 43.1, intensity 11; 2θ 44.9, intensity 9

Cell and atoms:
```
data_PuScCo
_chemical_formula_sum 'Pu4 Sc4 Co4'
_cell_length_a 8.1406
_cell_length_b 4.9000
_cell_length_c 5.2369
_cell_angle_alpha 90.00
_cell_angle_beta 103.85
_cell_angle_gamma 90.00
_symmetry_space_group_name_H-M 'P 1'
_symmetry_Int_Tables_number 1
loop_
_symmetry_equiv_pos_as_xyz
'x,y,z'
loop_
_atom_site_label
_atom_site_fract_x
_atom_site_fract_y
_atom_site_fract_z
Pu1 0.0445 0.0709 0.3161
Pu2 0.0445 0.4291 0.8161
Pu3 0.9555 0.5709 0.1839
Pu4 0.9555 0.9291 0.6839
Sc1 0.3779 0.0607 0.7026
Sc2 0.3779 0.4393 0.2026
Sc3 0.6221 0.5607 0.7974
Sc4 0.6221 0.9393 0.2974
Co1 0.2633 0.5791 0.6371
Co2 0.2633 0.9209 0.1371
Co3 0.7367 0.0791 0.8629
Co4 0.7367 0.4209 0.3629
```

=====

[4]
Pu2ZnCo5Si2: simulated powder XRD pattern (Cu Ka), based on a cell relaxed with GGA-PBE.

Top 10 peaks for 2θ from 10° to 80°, sorted by position:
2θ 17.8, intensity 22; 2θ 19.9, intensity 86; 2θ 36.6, intensity 24; 2θ 37.1, intensity 100; 2θ 37.7, intensity 76; 2θ 38.2, intensity 50; 2θ 40.9, intensity 28; 2θ 43.0, intensity 85; 2θ 68.8, intensity 20; 2θ 78.4, intensity 23

Cell and atoms:
```
data_Pu2ZnCo5Si2
_chemical_formula_sum 'Pu4 Zn2 Co10 Si4'
_cell_length_a 9.9851
_cell_length_b 9.9851
_cell_length_c 2.8246
_cell_angle_alpha 90.00
_cell_angle_beta 90.00
_cell_angle_gamma 90.00
_symmetry_space_group_name_H-M 'P 1'
_symmetry_Int_Tables_number 1
loop_
_symmetry_equiv_pos_as_xyz
'x,y,z'
loop_
_atom_site_label
_atom_site_fract_x
_atom_site_fract_y
_atom_site_fract_z
Pu1 0.1758 0.3242 0.0000
Pu2 0.3242 0.8242 0.0000
Pu3 0.6758 0.1758 0.0000
Pu4 0.8242 0.6758 0.0000
Zn1 0.0000 0.0000 0.0000
Zn2 0.5000 0.5000 0.0000
Co1 0.0000 0.5000 0.5000
Co2 0.0545 0.7964 0.5000
Co3 0.2036 0.0545 0.5000
Co4 0.2964 0.5545 0.5000
Co5 0.4455 0.2964 0.5000
Co6 0.5000 0.0000 0.5000
Co7 0.5545 0.7036 0.5000
Co8 0.7036 0.4455 0.5000
Co9 0.7964 0.9455 0.5000
Co10 0.9455 0.2036 0.5000
Si1 0.1276 0.6276 0.0000
Si2 0.3724 0.1276 0.0000
Si3 0.6276 0.8724 0.0000
Si4 0.8724 0.3724 0.0000
```

=====

[5]
Sm2PuCo3: simulated powder XRD pattern (Cu Ka), based on a cell relaxed with GGA-PBE.

Top 10 peaks for 2θ from 10° to 80°, sorted by position:
2θ 22.4, intensity 18; 2θ 31.5, intensity 77; 2θ 38.4, intensity 27; 2θ 38.7, intensity 36; 2θ 39.0, intensity 100; 2θ 43.3, intensity 14; 2θ 56.2, intensity 15; 2θ 61.0, intensity 15; 2θ 61.2, intensity 27; 2θ 65.8, intensity 21

Cell and atoms:
```
data_Sm2PuCo3
_chemical_formula_sum 'Sm4 Pu2 Co6'
_cell_length_a 5.6733
_cell_length_b 5.6733
_cell_length_c 7.9301
_cell_angle_alpha 90.00
_cell_angle_beta 90.00
_cell_angle_gamma 120.00
_symmetry_space_group_name_H-M 'P 1'
_symmetry_Int_Tables_number 1
loop_
_symmetry_equiv_pos_as_xyz
'x,y,z'
loop_
_atom_site_label
_atom_site_fract_x
_atom_site_fract_y
_atom_site_fract_z
Sm1 0.3333 0.6667 0.0613
Sm2 0.3333 0.6667 0.4387
Sm3 0.6667 0.3333 0.5613
Sm4 0.6667 0.3333 0.9387
Pu1 0.0000 0.0000 0.0000
Pu2 0.0000 0.0000 0.5000
Co1 0.1775 0.3549 0.7500
Co2 0.1775 0.8225 0.7500
Co3 0.3549 0.1775 0.2500
Co4 0.6451 0.8225 0.7500
Co5 0.8225 0.1775 0.2500
Co6 0.8225 0.6451 0.2500
```

=====

[6]
SmPuCo10: simulated powder XRD pattern (Cu Ka), based on a cell relaxed with GGA-PBE.

Top 10 peaks for 2θ from 10° to 80°, sorted by position:
2θ 30.8, intensity 66; 2θ 36.5, intensity 24; 2θ 42.4, intensity 25; 2θ 42.5, intensity 13; 2θ 43.3, intensity 100; 2θ 45.8, intensity 25; 2θ 60.0, intensity 17; 2θ 62.3, intensity 13; 2θ 64.2, intensity 22; 2θ 70.3, intensity 15

Cell and atoms:
```
data_SmPuCo10
_chemical_formula_sum 'Sm1 Pu1 Co10'
_cell_length_a 3.9589
_cell_length_b 4.9310
_cell_length_c 8.5101
_cell_angle_alpha 90.00
_cell_angle_beta 90.00
_cell_angle_gamma 90.00
_symmetry_space_group_name_H-M 'P 1'
_symmetry_Int_Tables_number 1
loop_
_symmetry_equiv_pos_as_xyz
'x,y,z'
loop_
_atom_site_label
_atom_site_fract_x
_atom_site_fract_y
_atom_site_fract_z
Sm1 0.0000 0.0000 0.0000
Pu1 0.0000 0.5000 0.5000
Co1 0.0000 0.0000 0.3437
Co2 0.0000 0.0000 0.6563
Co3 0.0000 0.5000 0.1810
Co4 0.0000 0.5000 0.8190
Co5 0.5000 0.0000 0.5000
Co6 0.5000 0.2506 0.2530
Co7 0.5000 0.2506 0.7470
Co8 0.5000 0.5000 0.0000
Co9 0.5000 0.7494 0.2530
Co10 0.5000 0.7494 0.7470
```

=====

[7]
Pu2CoSn8: simulated powder XRD pattern (Cu Ka), based on a cell relaxed with GGA-PBE.

Top 10 peaks for 2θ from 10° to 80°, sorted by position:
2θ 31.0, intensity 49; 2θ 35.1, intensity 100; 2θ 36.2, intensity 24; 2θ 39.1, intensity 54; 2θ 54.3, intensity 31; 2θ 56.5, intensity 19; 2θ 65.9, intensity 12; 2θ 66.8, intensity 19; 2θ 68.3, intensity 30; 2θ 69.0, intensity 16

Cell and atoms:
```
data_Pu2CoSn8
_chemical_formula_sum 'Pu2 Co1 Sn8'
_cell_length_a 4.6057
_cell_length_b 4.6057
_cell_length_c 12.4115
_cell_angle_alpha 90.00
_cell_angle_beta 90.00
_cell_angle_gamma 90.00
_symmetry_space_group_name_H-M 'P 1'
_symmetry_Int_Tables_number 1
loop_
_symmetry_equiv_pos_as_xyz
'x,y,z'
loop_
_atom_site_label
_atom_site_fract_x
_atom_site_fract_y
_atom_site_fract_z
Pu1 0.0000 0.0000 0.1927
Pu2 0.0000 0.0000 0.8073
Co1 0.0000 0.0000 0.5000
Sn1 0.0000 0.5000 0.0000
Sn2 0.0000 0.5000 0.3807
Sn3 0.0000 0.5000 0.6193
Sn4 0.5000 0.0000 0.0000
Sn5 0.5000 0.0000 0.3807
Sn6 0.5000 0.0000 0.6193
Sn7 0.5000 0.5000 0.1899
Sn8 0.5000 0.5000 0.8101
```

=====

[8]
Pu4Co3Sn16: simulated powder XRD pattern (Cu Ka), based on a cell relaxed with GGA-PBE.

Top 10 peaks for 2θ from 10° to 80°, sorted by position:
2θ 28.6, intensity 20; 2θ 30.9, intensity 48; 2θ 34.1, intensity 42; 2θ 34.6, intensity 100; 2θ 34.7, intensity 34; 2θ 39.7, intensity 76; 2θ 53.2, intensity 24; 2θ 53.3, intensity 23; 2θ 63.5, intensity 21; 2θ 68.7, intensity 23

Cell and atoms:
```
data_Pu4Co3Sn16
_chemical_formula_sum 'Pu4 Co3 Sn16'
_cell_length_a 6.4213
_cell_length_b 6.4332
_cell_length_c 13.1616
_cell_angle_alpha 90.00
_cell_angle_beta 90.23
_cell_angle_gamma 90.00
_symmetry_space_group_name_H-M 'P 1'
_symmetry_Int_Tables_number 1
loop_
_symmetry_equiv_pos_as_xyz
'x,y,z'
loop_
_atom_site_label
_atom_site_fract_x
_atom_site_fract_y
_atom_site_fract_z
Pu1 0.9999 0.0000 0.1874
Pu2 0.0001 0.0000 0.8126
Pu3 0.4983 0.5000 0.1871
Pu4 0.5017 0.5000 0.8129
Co1 0.0000 0.5000 0.0000
Co2 0.0000 0.5000 0.5000
Co3 0.5000 0.0000 0.5000
Sn1 0.0019 0.5000 0.8030
Sn2 0.2487 0.2500 0.3836
Sn3 0.2487 0.7500 0.3836
Sn4 0.2506 0.2504 0.6164
Sn5 0.2506 0.7496 0.6164
Sn6 0.2713 0.2284 0.9998
Sn7 0.2713 0.7716 0.9998
Sn8 0.4997 0.0000 0.1926
Sn9 0.5003 0.0000 0.8074
Sn10 0.7287 0.2284 0.0002
Sn11 0.7287 0.7716 0.0002
Sn12 0.7494 0.2504 0.3836
Sn13 0.7494 0.7496 0.3836
Sn14 0.7513 0.2500 0.6164
Sn15 0.7513 0.7500 0.6164
Sn16 0.9981 0.5000 0.1970
```

=====

[9]
PuTh2Co9: simulated powder XRD pattern (Cu Ka), based on a cell relaxed with GGA-PBE.

Top 10 peaks for 2θ from 10° to 80°, sorted by position:
2θ 21.0, intensity 45; 2θ 32.6, intensity 83; 2θ 35.6, intensity 73; 2θ 36.2, intensity 81; 2θ 42.2, intensity 51; 2θ 42.4, intensity 100; 2θ 62.9, intensity 26; 2θ 64.7, intensity 27; 2θ 65.2, intensity 23; 2θ 76.9, intensity 24

Cell and atoms:
```
data_PuTh2Co9
_chemical_formula_sum 'Pu1 Th2 Co9'
_cell_length_a 8.7991
_cell_length_b 8.7991
_cell_length_c 8.7991
_cell_angle_alpha 32.74
_cell_angle_beta 32.74
_cell_angle_gamma 32.74
_symmetry_space_group_name_H-M 'P 1'
_symmetry_Int_Tables_number 1
loop_
_symmetry_equiv_pos_as_xyz
'x,y,z'
loop_
_atom_site_label
_atom_site_fract_x
_atom_site_fract_y
_atom_site_fract_z
Pu1 0.0000 0.0000 0.0000
Th1 0.1364 0.1364 0.1364
Th2 0.8636 0.8636 0.8636
Co1 0.0804 0.5782 0.5782
Co2 0.3332 0.3332 0.3332
Co3 0.4218 0.4218 0.9196
Co4 0.4218 0.9196 0.4218
Co5 0.5000 0.5000 0.5000
Co6 0.5782 0.0804 0.5782
Co7 0.5782 0.5782 0.0804
Co8 0.6668 0.6668 0.6668
Co9 0.9196 0.4218 0.4218
```

=====

[10]
Pu2TlCo: simulated powder XRD pattern (Cu Ka), based on a cell relaxed with GGA-PBE.

Top 10 peaks for 2θ from 10° to 80°, sorted by position:
2θ 27.2, intensity 9; 2θ 29.3, intensity 30; 2θ 32.2, intensity 20; 2θ 34.8, intensity 100; 2θ 38.8, intensity 48; 2θ 51.3, intensity 22; 2θ 56.1, intensity 17; 2θ 62.4, intensity 17; 2θ 66.2, intensity 11; 2θ 67.7, intensity 30

Cell and atoms:
```
data_Pu2TlCo
_chemical_formula_sum 'Pu2 Tl1 Co1'
_cell_length_a 3.2792
_cell_length_b 3.2792
_cell_length_c 8.3449
_cell_angle_alpha 90.00
_cell_angle_beta 90.00
_cell_angle_gamma 90.00
_symmetry_space_group_name_H-M 'P 1'
_symmetry_Int_Tables_number 1
loop_
_symmetry_equiv_pos_as_xyz
'x,y,z'
loop_
_atom_site_label
_atom_site_fract_x
_atom_site_fract_y
_atom_site_fract_z
Pu1 0.0000 0.0000 0.2001
Pu2 0.0000 0.0000 0.7999
Tl1 0.5000 0.5000 0.5000
Co1 0.5000 0.5000 0.0000
```

=====

[11]
YPuCo2: simulated powder XRD pattern (Cu Ka), based on a cell relaxed with GGA-PBE.

Top 10 peaks for 2θ from 10° to 80°, sorted by position:
2θ 15.5, intensity 54; 2θ 27.7, intensity 46; 2θ 30.6, intensity 83; 2θ 33.9, intensity 98; 2θ 34.4, intensity 82; 2θ 37.9, intensity 100; 2θ 41.2, intensity 78; 2θ 41.6, intensity 43; 2θ 46.7, intensity 41; 2θ 58.9, intensity 41

Cell and atoms:
```
data_YPuCo2
_chemical_formula_sum 'Y2 Pu2 Co4'
_cell_length_a 3.8929
_cell_length_b 5.7151
_cell_length_c 7.0332
_cell_angle_alpha 90.00
_cell_angle_beta 90.00
_cell_angle_gamma 90.00
_symmetry_space_group_name_H-M 'P 1'
_symmetry_Int_Tables_number 1
loop_
_symmetry_equiv_pos_as_xyz
'x,y,z'
loop_
_atom_site_label
_atom_site_fract_x
_atom_site_fract_y
_atom_site_fract_z
Y1 0.0000 0.1063 0.0000
Y2 0.0000 0.8937 0.5000
Pu1 0.5000 0.3869 0.6314
Pu2 0.5000 0.6131 0.1314
Co1 0.0000 0.4151 0.3538
Co2 0.0000 0.5849 0.8538
Co3 0.5000 0.1780 0.3008
Co4 0.5000 0.8220 0.8008
```

=====

[12]
Y2PuCo2: simulated powder XRD pattern (Cu Ka), based on a cell relaxed with GGA-PBE.

Top 10 peaks for 2θ from 10° to 80°, sorted by position:
2θ 17.5, intensity 83; 2θ 29.3, intensity 49; 2θ 31.1, intensity 53; 2θ 31.6, intensity 36; 2θ 33.0, intensity 100; 2θ 33.6, intensity 65; 2θ 35.5, intensity 37; 2θ 36.8, intensity 61; 2θ 38.9, intensity 69; 2θ 40.4, intensity 77

Cell and atoms:
```
data_Y2PuCo2
_chemical_formula_sum 'Y4 Pu2 Co4'
_cell_length_a 5.8330
_cell_length_b 5.8330
_cell_length_c 7.2504
_cell_angle_alpha 99.22
_cell_angle_beta 99.22
_cell_angle_gamma 60.50
_symmetry_space_group_name_H-M 'P 1'
_symmetry_Int_Tables_number 1
loop_
_symmetry_equiv_pos_as_xyz
'x,y,z'
loop_
_atom_site_label
_atom_site_fract_x
_atom_site_fract_y
_atom_site_fract_z
Y1 0.0334 0.2687 0.1483
Y2 0.2687 0.0334 0.6483
Y3 0.7313 0.9666 0.3517
Y4 0.9666 0.7313 0.8517
Pu1 0.4046 0.5954 0.2500
Pu2 0.5954 0.4046 0.7500
Co1 0.2041 0.4973 0.4906
Co2 0.4973 0.2041 0.9906
Co3 0.5027 0.7959 0.0094
Co4 0.7959 0.5027 0.5094
```